Structure and calculated powder diffraction line list of MgSb2P2O10 (a PBE-relaxed structure; copper Kα).
Kinematic intensities with the Lorentz-polarization factor, no thermal factor.

Principal peaks in the range 2θ from 10° to 90°, low angle first:
(hkl), 2θ/deg, I_rel
0 1 0, 17.01, 48
1 0 0, 17.24, 100
1 -1 0, 22.04, 58
1 0 -2, 25.10, 95
0 1 -2, 25.39, 99
1 1 0, 26.39, 91
1 -1 2, 33.98, 23
1 -2 0, 35.79, 32
1 2 -2, 38.53, 29
2 1 0, 41.80, 25

Crystal structure
a = 5.495 Å, b = 5.521 Å, c = 7.888 Å
α = 106.49°, β = 107.98°, γ = 94.16°
Space group P1 (No. 1)
Asymmetric unit:
Mg1 0.000 0.000 0.000
Sb1 0.263 0.593 0.793
Sb2 0.277 0.640 0.337
P1 0.568 0.210 0.020
P2 0.919 0.997 0.562
O1 0.011 0.870 0.722
O2 0.077 0.933 0.428
O3 0.160 0.692 0.009
O4 0.336 0.526 0.563
O5 0.363 0.222 0.114
O6 0.519 0.371 0.881
O7 0.569 0.920 0.904
O8 0.628 0.906 0.452
O9 0.855 0.288 0.149
O10 0.960 0.290 0.663